For La2Cd5Ag4, a DFT-relaxed cell (GGA-PBE, Alexandria) gives the simulated X-ray diffraction stick pattern in this record (a wavelength of 1.5418 Å).
Intensities are scaled so that the largest is 100.

Atomic structure:
Unit cell a=5.8184 b=9.1357 c=9.8424 alpha=90.00 beta=90.00 gamma=90.00
Space group Immm (No. 71)
Asymmetric unit:
La 0.0000 0.0000 0.2179 (multiplicity 4)
Cd 0.0000 0.5000 0.5000 (multiplicity 2)
Cd 0.2498 0.1904 0.5000 (multiplicity 8)
Ag 0.0000 0.3362 0.2545 (multiplicity 8)

Largest 8 diffraction maxima, in order of rising 2θ, 15 to 90 degrees two-theta:
30.73 deg, I 54, (0 3 1); 33.21 deg, I 40, (1 3 0); 33.59 deg, I 25, (2 1 1); 35.86 deg, I 97, (2 0 2); 36.52 deg, I 62, (0 0 4); 38.04 deg, I 100, (1 3 2); 41.10 deg, I 23, (2 2 2); 59.55 deg, I 26, (3 3 2)